(1)
Simulated powder X-ray diffraction pattern
Compound: NaPbAu5
Radiation: λ = 1.5418 Å (Cu Kα)
Structure: a DFT-relaxed cell (GGA-PBE, Alexandria)

Cell and atoms:
Cell: 9.3209 5.6272 11.8285 Å, 90.00 90.00 90.00°
Element x y z (fractional)
Na  0.2279  0.2500  0.0649
Na  0.2721  0.7500  0.5649
Na  0.7279  0.2500  0.4351
Na  0.7721  0.7500  0.9351
Pb  0.1075  0.2500  0.3684
Pb  0.3925  0.7500  0.8684
Pb  0.6075  0.2500  0.1316
Pb  0.8925  0.7500  0.6316
Au  0.0948  0.5042  0.8232
Au  0.0948  0.9958  0.8232
Au  0.0990  0.7500  0.0291
Au  0.1030  0.2500  0.6069
Au  0.1532  0.7500  0.2647
Au  0.3468  0.2500  0.7647
Au  0.3970  0.7500  0.1069
Au  0.4010  0.2500  0.5291
Au  0.4052  0.0042  0.3232
Au  0.4052  0.4958  0.3232
Au  0.5948  0.5042  0.6768
Au  0.5948  0.9958  0.6768
Au  0.5990  0.7500  0.4709
Au  0.6030  0.2500  0.8931
Au  0.6532  0.7500  0.2353
Au  0.8468  0.2500  0.7353
Au  0.8970  0.7500  0.3931
Au  0.9010  0.2500  0.9709
Au  0.9052  0.0042  0.1768
Au  0.9052  0.4958  0.1768

Largest 8 diffraction maxima, sorted by position, 5° ≤ 2θ ≤ 70°:
d [Å], Position (°2θ), Rel. int.
4.462, 19.90, 70
2.817, 31.76, 49
2.651, 33.81, 71
2.360, 38.13, 70
2.330, 38.64, 44
2.283, 39.47, 100
2.224, 40.56, 83
2.142, 42.19, 29

(2)
Simulated powder X-ray diffraction pattern
Compound: NaPd2Au6
Radiation: λ = 1.5418 Å (Cu Kα)
Structure: a DFT-relaxed cell (GGA-PBE, Alexandria)

Cell and atoms:
Cell: 5.0588 5.0708 6.4872 Å, 83.10 75.26 80.72°
Element x y z (fractional)
Na  0.0000  0.0000  0.0000
Pd  0.2302  0.4427  0.1109
Pd  0.7698  0.5573  0.8891
Au  0.1122  0.2250  0.5470
Au  0.3256  0.6619  0.6777
Au  0.4477  0.8851  0.2214
Au  0.5523  0.1149  0.7786
Au  0.6744  0.3381  0.3223
Au  0.8878  0.7750  0.4530

Largest 8 diffraction maxima, sorted by position, 5° ≤ 2θ ≤ 70°:
d [Å], Position (°2θ), Rel. int.
6.252, 14.17, 20
2.387, 37.69, 100
2.380, 37.80, 99
2.072, 43.69, 68
2.049, 44.21, 32
1.468, 63.35, 12
1.462, 63.66, 11
1.457, 63.91, 42

(3)
Simulated powder X-ray diffraction pattern
Compound: Na8PdAu3
Radiation: λ = 1.5418 Å (Cu Kα)
Structure: a DFT-relaxed cell (GGA-PBE, Alexandria)

Cell and atoms:
Cell: 8.6142 8.5866 6.9692 Å, 66.31 65.89 47.80°
Element x y z (fractional)
Na  0.1223  0.6316  0.8777
Na  0.1240  0.6326  0.3674
Na  0.3674  0.8760  0.1240
Na  0.3684  0.8777  0.6316
Na  0.6316  0.1223  0.3684
Na  0.6326  0.1240  0.8760
Na  0.8760  0.3674  0.6326
Na  0.8777  0.3684  0.1223
Pd  0.0000  0.0000  0.0000
Au  0.2500  0.2500  0.2500
Au  0.5000  0.5000  0.5000
Au  0.7500  0.7500  0.7500

Largest 8 diffraction maxima, sorted by position, 5° ≤ 2θ ≤ 70°:
d [Å], Position (°2θ), Rel. int.
4.052, 21.94, 86
4.025, 22.08, 85
3.484, 25.56, 31
2.477, 36.26, 100
2.121, 42.63, 31
2.109, 42.88, 31
2.098, 43.12, 31
1.430, 65.23, 21

(4)
Simulated powder X-ray diffraction pattern
Compound: Na2Pd3Au
Radiation: λ = 1.5418 Å (Cu Kα)
Structure: a DFT-relaxed cell (GGA-PBE, Alexandria)

Cell and atoms:
Cell: 5.4054 5.4054 5.4799 Å, 119.55 119.55 60.10°
Element x y z (fractional)
Na  0.1239  0.1239  0.3718
Na  0.8761  0.8761  0.6282
Pd  0.0000  0.5000  0.0000
Pd  0.5000  0.0000  0.0000
Pd  0.5000  0.5000  0.0000
Au  0.5000  0.5000  0.5000

Largest 8 diffraction maxima, sorted by position, 5° ≤ 2θ ≤ 70°:
d [Å], Position (°2θ), Rel. int.
4.425, 20.07, 100
2.340, 38.46, 31
2.318, 38.85, 60
2.252, 40.04, 21
2.213, 40.78, 61
1.924, 47.23, 33
1.755, 52.11, 16
1.370, 68.50, 15

(5)
Simulated powder X-ray diffraction pattern
Compound: Na2Sb2Pd2Au
Radiation: λ = 1.5418 Å (Cu Kα)
Structure: a DFT-relaxed cell (GGA-PBE, Alexandria)

Cell and atoms:
Cell: 4.8927 5.5805 6.2799 Å, 97.84 90.11 115.96°
Element x y z (fractional)
Na  0.0530  0.1056  0.2746
Na  0.9470  0.8944  0.7254
Sb  0.2564  0.5117  0.7345
Sb  0.7436  0.4883  0.2655
Pd  0.3619  0.7253  0.3671
Pd  0.6381  0.2747  0.6329
Au  0.5000  0.0000  0.0000

Largest 8 diffraction maxima, sorted by position, 5° ≤ 2θ ≤ 70°:
d [Å], Position (°2θ), Rel. int.
4.388, 20.24, 90
3.614, 24.63, 38
2.832, 31.59, 60
2.446, 36.74, 55
2.396, 37.53, 100
2.196, 41.10, 32
1.851, 49.22, 35
1.824, 50.00, 34

(6)
Simulated powder X-ray diffraction pattern
Compound: NaSr2PdAu
Radiation: λ = 1.5418 Å (Cu Kα)
Structure: a DFT-relaxed cell (GGA-PBE, Alexandria)

Cell and atoms:
Cell: 5.7706 5.7706 5.2382 Å, 90.00 90.00 90.00°
Element x y z (fractional)
Na  0.0000  0.0000  0.0000
Sr  0.0000  0.5000  0.5000
Sr  0.5000  0.0000  0.5000
Pd  0.0000  0.0000  0.5000
Au  0.5000  0.5000  0.0000

Largest 8 diffraction maxima, sorted by position, 5° ≤ 2θ ≤ 70°:
d [Å], Position (°2θ), Rel. int.
3.879, 22.93, 100
3.219, 27.71, 67
2.885, 30.99, 77
2.619, 34.24, 30
2.315, 38.90, 52
2.040, 44.40, 29
1.939, 46.85, 49
1.610, 57.24, 27

(7)
Simulated powder X-ray diffraction pattern
Compound: NaPmAu
Radiation: λ = 1.5418 Å (Cu Kα)
Structure: a DFT-relaxed cell (GGA-PBE, Alexandria)

Cell and atoms:
Cell: 7.2319 7.2505 7.2301 Å, 90.00 90.00 90.00°
Element x y z (fractional)
Na  0.2500  0.0000  0.0063
Na  0.2500  0.0000  0.5063
Na  0.7500  0.0000  0.4937
Na  0.7500  0.0000  0.9937
Pm  0.2500  0.5000  0.4994
Pm  0.2500  0.5000  0.9994
Pm  0.7500  0.5000  0.0006
Pm  0.7500  0.5000  0.5006
Au  0.0000  0.2854  0.2500
Au  0.0000  0.7146  0.7500
Au  0.5000  0.2854  0.7500
Au  0.5000  0.7146  0.2500

Largest 8 diffraction maxima, sorted by position, 5° ≤ 2θ ≤ 70°:
d [Å], Position (°2θ), Rel. int.
7.251, 12.21, 44
4.179, 21.26, 67
2.559, 35.07, 100
2.182, 41.38, 33
2.009, 45.12, 16
1.808, 50.49, 13
1.660, 55.34, 12
1.477, 62.92, 32

(8)
Simulated powder X-ray diffraction pattern
Compound: NaPmAu
Radiation: λ = 1.5418 Å (Cu Kα)
Structure: a DFT-relaxed cell (GGA-PBE, Alexandria)

Cell and atoms:
Cell: 6.3918 6.3918 6.3918 Å, 145.40 145.40 49.74°
Element x y z (fractional)
Na  0.0000  0.0000  0.0000
Pm  0.2795  0.2795  0.0000
Au  0.6603  0.6603  0.0000

Largest 8 diffraction maxima, sorted by position, 5° ≤ 2θ ≤ 70°:
d [Å], Position (°2θ), Rel. int.
5.799, 15.28, 77
3.612, 24.64, 23
2.711, 33.05, 100
2.688, 33.33, 60
2.439, 36.86, 37
1.980, 45.83, 37
1.556, 59.39, 37
1.371, 68.42, 23